(1)
Starting from a cell relaxed with GGA+U, the XRD peak list of MgFe2Co4O8 was simulated for Cu Kα X-rays.
Peak positions follow from Bragg's law for the DFT cell and can differ from measured ones.

Most intense lines, 2θ = 10–80°, sorted by position:
- 2θ 30.0, d 2.981, intensity 91
- 2θ 33.9, d 2.641, intensity 63
- 2θ 34.2, d 2.623, intensity 76
- 2θ 34.6, d 2.593, intensity 74
- 2θ 34.9, d 2.573, intensity 83
- 2θ 35.0, d 2.562, intensity 42
- 2θ 35.3, d 2.541, intensity 69
- 2θ 41.2, d 2.191, intensity 41
- 2θ 42.0, d 2.149, intensity 100
- 2θ 58.4, d 1.581, intensity 58
- 2θ 62.2, d 1.491, intensity 70
- 2θ 62.4, d 1.488, intensity 37

Structure:
Cell lengths 5.967, 5.967, 6.235 Å; angles 117.41, 117.41, 59.85 degrees
Sites, in units of the cell vectors:
Mg: 0.000 0.000 0.000
Fe: 0.000 0.500 0.000
Fe: 0.500 0.000 0.000
Co: 0.141 0.141 0.459
Co: 0.500 0.500 0.000
Co: 0.500 0.500 0.500
Co: 0.859 0.859 0.541
O: 0.232 0.743 0.238
O: 0.239 0.239 0.228
O: 0.257 0.768 0.762
O: 0.272 0.272 0.813
O: 0.728 0.728 0.187
O: 0.743 0.232 0.238
O: 0.761 0.761 0.772
O: 0.768 0.257 0.762



(2)
Starting from a cell relaxed with GGA+U, the XRD peak list of Li3Fe8B8O24 was simulated for Cu Kα X-rays.
Peak positions follow from Bragg's law for the DFT cell and can differ from measured ones.

Most intense lines, 2θ = 10–80°, sorted by position:
- 2θ 19.5, d 4.563, intensity 48
- 2θ 19.6, d 4.521, intensity 83
- 2θ 21.4, d 4.145, intensity 100
- 2θ 21.5, d 4.128, intensity 61
- 2θ 26.2, d 3.406, intensity 76
- 2θ 26.4, d 3.373, intensity 56
- 2θ 34.3, d 2.618, intensity 73
- 2θ 35.5, d 2.532, intensity 98
- 2θ 40.4, d 2.230, intensity 44
- 2θ 40.9, d 2.206, intensity 30
- 2θ 49.4, d 1.844, intensity 33
- 2θ 60.9, d 1.521, intensity 33

Structure:
Cell lengths 5.235, 9.129, 11.369 Å; angles 66.74, 76.74, 89.41 degrees
Sites, in units of the cell vectors:
Li: 0.000 0.000 0.000
Li: 0.015 0.024 0.263
Li: 0.311 0.291 0.733
Fe: 0.025 0.348 0.977
Fe: 0.029 0.703 0.234
Fe: 0.268 0.928 0.482
Fe: 0.299 0.632 0.733
Fe: 0.509 0.832 0.982
Fe: 0.547 0.221 0.222
Fe: 0.763 0.422 0.479
Fe: 0.815 0.112 0.729
B: 0.008 0.680 0.975
B: 0.045 0.372 0.235
B: 0.250 0.584 0.489
B: 0.318 0.962 0.735
B: 0.514 0.161 0.981
B: 0.548 0.892 0.221
B: 0.764 0.097 0.470
B: 0.799 0.459 0.728
O: 0.025 0.595 0.442
O: 0.046 0.447 0.762
O: 0.128 0.779 0.019
O: 0.159 0.581 0.926
O: 0.183 0.088 0.741
O: 0.239 0.865 0.676
O: 0.260 0.174 0.967
O: 0.307 0.370 0.230
O: 0.317 0.703 0.530
O: 0.391 0.992 0.272
O: 0.404 0.460 0.500
O: 0.419 0.799 0.178
O: 0.531 0.108 0.427
O: 0.537 0.924 0.786
O: 0.630 0.254 0.032
O: 0.643 0.576 0.737
O: 0.668 0.051 0.946
O: 0.716 0.346 0.687
O: 0.746 0.679 0.983
O: 0.814 0.896 0.211
O: 0.821 0.197 0.526
O: 0.888 0.471 0.281
O: 0.930 0.269 0.191
O: 0.933 0.987 0.453